Entry 1:
For SrLi4In5, a crystal structure in Alexandria, relaxed with PBE gives the simulated PXRD pattern in this record (Cu Kα).

Largest 6 diffraction maxima, by intensity, 2θ from 10° to 90°:
35.8 deg, 2.511 Å, I = 100; 24.1 deg, 3.697 Å, I = 62; 35.2 deg, 2.548 Å, I = 55; 26.0 deg, 3.421 Å, I = 51; 36.7 deg, 2.452 Å, I = 49; 47.7 deg, 1.907 Å, I = 39

Cell and atoms:
a = 3.4209 Å, b = 3.6965 Å, c = 17.5801 Å
α = 90.00°, β = 90.00°, γ = 90.00°
Space group Pmmm (No. 47)
Asymmetric unit:
Sr 0.0000 0.0000 0.0000 x1
Li 0.0000 0.0000 0.2272 x2
Li 0.0000 0.0000 0.4081 x2
In 0.5000 0.5000 0.1368 x2
In 0.5000 0.5000 0.3166 x2
In 0.5000 0.5000 0.5000 x1



Entry 2:
For Sr2Li15In2, a crystal structure in Alexandria, relaxed with PBE gives the simulated PXRD pattern in this record (Cu Kα).

Largest 6 diffraction maxima, by intensity, 2θ from 10° to 90°:
17.4 deg, 5.098 Å, I = 100; 30.4 deg, 2.943 Å, I = 30; 26.4 deg, 3.375 Å, I = 29; 36.5 deg, 2.464 Å, I = 26; 35.2 deg, 2.549 Å, I = 24; 31.8 deg, 2.814 Å, I = 21

Cell and atoms:
a = 10.1956 Å, b = 10.1956 Å, c = 14.6089 Å
α = 90.00°, β = 90.00°, γ = 120.00°
Space group R-3m (No. 166, hexagonal axes)
Asymmetric unit:
Sr 0.0000 0.0000 0.1526 x6
Li 0.0000 0.2685 0.5000 x18
Li 0.0000 0.5000 0.0000 x9
Li 0.0165 0.5082 0.3549 x18
In 0.0000 0.0000 0.3927 x6



Entry 3:
For Sr2LiIn2, a crystal structure in Alexandria, relaxed with PBE gives the simulated PXRD pattern in this record (Cu Kα).

Largest 6 diffraction maxima, by intensity, 2θ from 10° to 90°:
30.1 deg, 2.968 Å, I = 100; 14.7 deg, 6.019 Å, I = 31; 33.3 deg, 2.692 Å, I = 20; 61.9 deg, 1.500 Å, I = 14; 38.0 deg, 2.370 Å, I = 12; 51.4 deg, 1.779 Å, I = 11

Cell and atoms:
a = 8.5126 Å, b = 8.5126 Å, c = 4.7395 Å
α = 90.00°, β = 90.00°, γ = 90.00°
Space group P4/mbm (No. 127)
Asymmetric unit:
Sr 0.1671 0.3329 0.0000 x4
Li 0.0000 0.0000 0.5000 x2
In 0.1324 0.6324 0.5000 x4



Entry 4:
For SrLi6In12, a crystal structure in Alexandria, relaxed with PBE gives the simulated PXRD pattern in this record (Cu Kα).

Largest 6 diffraction maxima, by intensity, 2θ from 10° to 90°:
30.5 deg, 2.935 Å, I = 100; 30.8 deg, 2.900 Å, I = 50; 36.8 deg, 2.442 Å, I = 35; 44.9 deg, 2.020 Å, I = 34; 19.9 deg, 4.466 Å, I = 25; 24.3 deg, 3.664 Å, I = 23

Cell and atoms:
a = 12.8137 Å, b = 12.8137 Å, c = 9.7566 Å
α = 90.00°, β = 90.00°, γ = 120.00°
Space group R-3m (No. 166, hexagonal axes)
Asymmetric unit:
Sr 0.0000 0.0000 0.0000 x3
Li 0.0433 0.5217 0.2452 x18
In 0.0000 0.3841 0.5000 x18
In 0.0846 0.1692 0.3218 x18